Structure and theoretical X-ray powder pattern of ZrIr4Ru (the GGA-PBE geometry in Alexandria; CuKα).
Kinematic intensities with the Lorentz-polarization factor, no thermal factor.

Peak list (8 most intense, 2θ from 5° to 70°, low angle first)
(hkl), d (Å), Position (°2θ), Rel. int.
1 1 1, 4.232, 21.0, 38
2 2 0, 2.591, 34.6, 11
3 1 1, 2.210, 40.8, 100
2 2 2, 2.116, 42.7, 63
4 0 0, 1.832, 49.8, 17
3 3 1, 1.682, 54.6, 10
4 2 2, 1.496, 62.0, 4
5 1 1, 1.411, 66.3, 32

Crystal structure
```
data_ZrIr4Ru
_cell_length_a 7.330
_cell_length_b 7.330
_cell_length_c 7.330
_cell_angle_alpha 90.00
_cell_angle_beta 90.00
_cell_angle_gamma 90.00
_symmetry_space_group_name_H-M 'F -4 3 m'
_symmetry_Int_Tables_number 216
_symmetry_space_group_name_Hall 'F -4 2 3'
loop_
_atom_site_label
_atom_site_type_symbol
_atom_site_fract_x
_atom_site_fract_y
_atom_site_fract_z
_atom_site_occupancy
Zr1 Zr 0.000 0.000 0.000 1
Ir1 Ir 0.125 0.125 0.625 1
Ru1 Ru 0.250 0.250 0.250 1
```